Calculated powder XRD pattern
Compound: NaTbCr2O8
Radiation: Cu Kα (weighted mean of Kα1 and Kα2)
Structure: a GGA+U-relaxed structure
No peak broadening, texture or thermal motion is included.

Peak list (10 most intense, 2θ = 10–90°, in order of falling intensity)
| Position (°2θ) | I/Imax |
| --- | --- |
| 24.46 | 100 |
| 33.52 | 62 |
| 49.14 | 53 |
| 17.23 | 42 |
| 18.70 | 39 |
| 30.97 | 19 |
| 37.93 | 16 |
| 34.86 | 16 |
| 61.66 | 16 |
| 50.13 | 16 |

Cell: 6.023 6.023 6.023 Å, 105.65 105.65 117.42°
Atoms (fractional coordinates):
1 Na 0.000 0.000 0.000
2 Tb 0.750 0.250 0.500
3 Cr 0.250 0.750 0.500
4 Cr 0.500 0.500 0.000
5 O 0.081 0.404 0.323
6 O 0.081 0.758 0.677
7 O 0.159 0.345 0.814
8 O 0.242 0.919 0.323
9 O 0.531 0.345 0.186
10 O 0.596 0.919 0.677
11 O 0.655 0.469 0.814
12 O 0.655 0.841 0.186